For Nd4Sm2Bi3N2, a GGA-PBE-relaxed structure gives the computed PXRD pattern in this record (Cu Kα (λ = 1.5418 Å)).
Neutral-atom scattering factors, no anomalous dispersion.

Crystal structure
Cell lengths 4.849, 4.849, 26.525 Å; angles 90.00, 90.00, 90.00 degrees
Space group I4/mmm (No. 139)
Unique sites:
Nd (0.000, 0.500, 0.084)
Sm (0.000, 0.000, 0.191)
Bi (0.000, 0.000, 0.319)
Bi (0.000, 0.000, 0.500)
N (0.000, 0.000, 0.106)

Peak list (10 most intense, 5° ≤ 2θ ≤ 70°, by angle)
| 2θ/deg | d_spacing | Rel. int. | (hkl) |
| --- | --- | --- | --- |
| 18.6 | 4.770 | 14 | 1 0 1 |
| 26.9 | 3.318 | 45 | 0 0 8 |
| 29.3 | 3.046 | 16 | 1 1 4 |
| 33.1 | 2.709 | 100 | 1 1 6 |
| 33.8 | 2.653 | 13 | 0 0 10 |
| 37.1 | 2.424 | 51 | 2 0 0 |
| 51.0 | 1.790 | 16 | 2 0 10 |
| 53.4 | 1.714 | 18 | 2 2 0 |
| 62.2 | 1.493 | 17 | 1 1 16 |
| 64.3 | 1.449 | 30 | 3 1 6 |